[1]
Starting from a DFT-relaxed cell (GGA-PBE, Alexandria), the XRD peak list of EuSc3 was simulated for λ = 1.5418 Å (Cu Kα).

Top 10 peaks for 10° ≤ 2θ ≤ 90°, low angle first:
| Position (°2θ) | I_rel | (hkl) |
| --- | --- | --- |
| 14.82 | 29 | 0 0 1 |
| 16.35 | 27 | 0 1 0 |
| 22.14 | 32 | 0 1 1 |
| 30.44 | 35 | 1 0 1 |
| 33.05 | 38 | 0 2 0 |
| 34.26 | 56 | 0 1 2 |
| 34.74 | 100 | 1 1 1 |
| 45.55 | 25 | 1 2 1 |
| 60.13 | 19 | 1 3 1 |
| 64.27 | 20 | 1 2 3 |

Crystal structure
```
data_EuSc3
_cell_length_a 3.371
_cell_length_b 5.420
_cell_length_c 5.977
_cell_angle_alpha 90.00
_cell_angle_beta 90.00
_cell_angle_gamma 90.00
_symmetry_space_group_name_H-M 'P m m 2'
_symmetry_Int_Tables_number 25
loop_
_symmetry_equiv_pos_as_xyz
'x,y,z'
'-x,-y,z'
'-x,y,z'
'x,-y,z'
loop_
_atom_site_label
_atom_site_fract_x
_atom_site_fract_y
_atom_site_fract_z
_atom_site_occupancy
Eu1 0.000 0.000 0.000 1
Sc1 0.000 0.500 0.661 1
Sc2 0.500 0.000 0.497 1
Sc3 0.500 0.500 0.189 1
```


[2]
Starting from a DFT-relaxed cell (GGA-PBE, Alexandria), the XRD peak list of Li6AcPd4 was simulated for λ = 1.5418 Å (Cu Kα).

Top 10 peaks for 10° ≤ 2θ ≤ 90°, low angle first:
| Position (°2θ) | I_rel | (hkl) |
| --- | --- | --- |
| 14.07 | 42 | 1 0 0 |
| 24.49 | 44 | 1 1 0 |
| 25.61 | 100 | 1 0 1 |
| 28.36 | 42 | 2 0 0 |
| 32.68 | 91 | 1 1 1 |
| 35.73 | 57 | 2 0 1 |
| 37.81 | 55 | 2 1 0 |
| 48.57 | 57 | 3 0 1 |
| 58.88 | 31 | 2 1 2 |
| 68.79 | 26 | 3 2 1 |

Crystal structure
```
data_Li6AcPd4
_cell_length_a 7.2688
_cell_length_b 7.2688
_cell_length_c 4.1723
_cell_angle_alpha 90.00
_cell_angle_beta 90.00
_cell_angle_gamma 120.00
_symmetry_space_group_name_H-M 'P -6 m 2'
_symmetry_Int_Tables_number 187
_symmetry_space_group_name_Hall 'P -6 2'
loop_
_atom_site_label
_atom_site_fract_x
_atom_site_fract_y
_atom_site_fract_z
_atom_site_occupancy
Li1 0.2017 0.4033 0.0000 1
Li2 0.2471 0.1235 0.5000 1
Ac1 0.6667 0.3333 0.0000 1
Pd1 0.0000 0.0000 0.0000 1
Pd2 0.0723 0.5362 0.5000 1
```


[3]
Starting from a DFT-relaxed cell (GGA-PBE, Alexandria), the XRD peak list of Pm7Al2Au2 was simulated for λ = 1.5418 Å (Cu Kα).

Top 10 peaks for 10° ≤ 2θ ≤ 90°, low angle first:
| Position (°2θ) | I_rel | (hkl) |
| --- | --- | --- |
| 12.02 | 34 | 0 0 1 |
| 15.76 | 27 | 0 2 0 |
| 24.99 | 41 | 2 0 1 |
| 27.04 | 36 | 2 2 0 |
| 28.88 | 24 | 1 3 1 |
| 31.82 | 46 | 0 4 0 |
| 32.80 | 31 | 2 0 2 |
| 35.92 | 43 | 1 3 2 |
| 36.59 | 100 | 2 2 2 |
| 44.52 | 21 | 4 0 0 |

Crystal structure
```
data_Pm7Al2Au2
_cell_length_a 8.141
_cell_length_b 11.248
_cell_length_c 7.364
_cell_angle_alpha 90.00
_cell_angle_beta 90.00
_cell_angle_gamma 90.00
_symmetry_space_group_name_H-M 'C m m m'
_symmetry_Int_Tables_number 65
_symmetry_space_group_name_Hall '-C 2 2'
loop_
_atom_site_label
_atom_site_fract_x
_atom_site_fract_y
_atom_site_fract_z
_atom_site_occupancy
Pm1 0.000 0.000 0.000 1
Pm2 0.000 0.500 0.264 1
Pm3 0.250 0.250 0.275 1
Al1 0.162 0.000 0.500 1
Au1 0.000 0.290 0.000 1
```


[4]
Starting from a DFT-relaxed cell (GGA-PBE, Alexandria), the XRD peak list of MgIn6Pb12 was simulated for λ = 1.5418 Å (Cu Kα).

Top 10 peaks for 10° ≤ 2θ ≤ 90°, low angle first:
| Position (°2θ) | I_rel | (hkl) |
| --- | --- | --- |
| 31.22 | 34 | 0 0 3 |
| 31.60 | 100 | 3 2 1 |
| 36.54 | 68 | 5 -3 2 |
| 52.38 | 24 | 3 2 4 |
| 52.87 | 26 | 1 7 0 |
| 62.25 | 14 | 5 -3 5 |
| 62.70 | 28 | 1 7 3 |
| 62.92 | 14 | 10 -6 1 |
| 65.98 | 12 | 6 4 2 |
| 86.63 | 12 | 11 1 1 |

Crystal structure
```
data_MgIn6Pb12
_cell_length_a 15.0943
_cell_length_b 15.0943
_cell_length_c 8.5951
_cell_angle_alpha 90.00
_cell_angle_beta 90.00
_cell_angle_gamma 120.00
_symmetry_space_group_name_H-M 'R -3'
_symmetry_Int_Tables_number 148
_symmetry_space_group_name_Hall '-R 3'
loop_
_atom_site_label
_atom_site_fract_x
_atom_site_fract_y
_atom_site_fract_z
_atom_site_occupancy
Mg1 0.0000 0.0000 0.0000 1
In1 0.0151 0.1334 0.6688 1
Pb1 0.0358 0.2776 0.3435 1
Pb2 0.0750 0.5644 0.6625 1
```